(1)
Structure and theoretical powder X-ray diffraction pattern of La7HoTm3 (DFT lattice parameters and positions (PBE); Cu Ka).

Most intense lines, 2θ from 10° to 90°, low angle first:
| hkl | 2θ/deg | intensity |
| --- | --- | --- |
| 1 -3 2 | 27.4 | 58 |
| 1 -3 0 | 29.0 | 50 |
| 2 -1 2 | 29.5 | 56 |
| 0 0 4 | 30.1 | 100 |
| 0 3 0 | 31.4 | 76 |
| 2 1 -2 | 32.5 | 100 |
| -2 2 2 | 33.3 | 95 |
| 0 3 -4 | 33.7 | 48 |
| 2 1 -6 | 49.6 | 43 |
| 2 0 6 | 58.1 | 33 |

a b c (Å): 7.044 9.978 12.962
angles (deg): 112.03 90.05 110.64
Positions (direct):
La 0.066 0.167 0.476
La 0.069 0.154 0.967
La 0.129 0.500 0.750
La 0.337 0.246 0.230
La 0.399 0.834 0.025
La 0.410 0.247 0.730
La 0.415 0.846 0.533
La 0.585 0.154 0.467
La 0.590 0.753 0.270
La 0.601 0.166 0.975
La 0.663 0.754 0.770
La 0.871 0.500 0.250
La 0.931 0.846 0.033
La 0.934 0.833 0.524
Ho 0.000 0.500 0.000
Ho 0.000 0.500 0.500
Tm 0.164 0.867 0.270
Tm 0.201 0.867 0.770
Tm 0.500 0.500 0.000
Tm 0.500 0.500 0.500
Tm 0.799 0.133 0.230
Tm 0.836 0.133 0.730

(2)
Structure and theoretical powder X-ray diffraction pattern of AcTbNd2Se4 (DFT lattice parameters and positions (PBE); Cu Ka).

Most intense lines, 2θ from 10° to 90°, low angle first:
| hkl | 2θ/deg | intensity |
| --- | --- | --- |
| 1 1 -1 | 25.9 | 12 |
| 1 1 1 | 29.6 | 100 |
| 2 0 2 | 41.8 | 13 |
| 1 1 -3 | 42.0 | 26 |
| 3 1 -1 | 42.9 | 25 |
| 0 2 0 | 43.1 | 12 |
| 2 2 -2 | 53.2 | 13 |
| 2 2 2 | 61.6 | 12 |
| 0 2 4 | 69.1 | 11 |
| 4 2 0 | 70.4 | 11 |

a b c (Å): 7.322 4.197 7.524
angles (deg): 90.00 108.70 90.00
Positions (direct):
Ac 0.000 0.000 0.000
Tb 0.000 0.500 0.500
Nd 0.500 0.000 0.500
Nd 0.500 0.500 0.000
Se 0.245 0.000 0.736
Se 0.255 0.500 0.265
Se 0.745 0.500 0.735
Se 0.755 0.000 0.264